Entry 1:
Pm3ZrGe5: computed XRD peak list (copper Kα), based on a DFT-relaxed cell (GGA-PBE, Alexandria).

Main lines, in order of falling intensity (10 to 90 degrees two-theta):
| d_spacing | Rel. int. |
| --- | --- |
| 2.492 | 100.0 |
| 2.565 | 87.5 |
| 2.619 | 71.9 |
| 2.011 | 29.6 |
| 3.574 | 27.4 |
| 1.787 | 23.3 |
| 1.298 | 20.1 |
| 1.652 | 17.7 |

Cell and atoms:
a b c (Å): 8.8844 8.8844 6.0197
angles (deg): 90.00 90.00 120.00
Space group P6_3/mcm (No. 193)
Symmetry-distinct sites (fractional):
Pm1 0.0000 0.3847 0.2500 x6
Zr1 0.0000 0.0000 0.0000 x2
Ge1 0.0000 0.2673 0.7500 x6
Ge2 0.3333 0.6667 0.0000 x4



Entry 2:
NaZn10Cu2: computed XRD peak list (copper Kα), based on a DFT-relaxed cell (GGA-PBE, Alexandria).

Main lines, in order of falling intensity (10 to 90 degrees two-theta):
| d_spacing | Rel. int. |
| --- | --- |
| 2.209 | 100.0 |
| 2.223 | 96.1 |
| 1.984 | 91.8 |
| 1.991 | 51.8 |
| 2.558 | 31.1 |
| 4.421 | 25.5 |
| 1.976 | 24.8 |
| 1.279 | 22.7 |

Cell and atoms:
a b c (Å): 5.147 12.451 12.561
angles (deg): 90.00 90.00 90.00
Space group Fmmm (No. 69)
Symmetry-distinct sites (fractional):
Na1 0.000 0.000 0.000 x4
Zn1 0.000 0.112 0.392 x16
Zn2 0.000 0.178 0.170 x16
Zn3 0.250 0.000 0.250 x8
Cu1 0.250 0.250 0.000 x8



Entry 3:
Ho2TmOs: computed XRD peak list (copper Kα), based on a DFT-relaxed cell (GGA-PBE, Alexandria).

Main lines, in order of falling intensity (10 to 90 degrees two-theta):
| d_spacing | Rel. int. |
| --- | --- |
| 2.746 | 100.0 |
| 2.537 | 86.5 |
| 2.591 | 79.9 |
| 2.703 | 75.9 |
| 2.846 | 67.9 |
| 2.323 | 51.9 |
| 1.835 | 51.6 |
| 2.283 | 50.1 |

Cell and atoms:
a b c (Å): 7.354 8.988 6.270
angles (deg): 90.00 90.00 90.00
Space group Pnma (No. 62)
Symmetry-distinct sites (fractional):
Ho1 0.175 0.062 0.168 x8
Tm1 0.039 0.250 0.629 x4
Os1 0.117 0.750 0.964 x4



Entry 4:
LuPu2Zr: computed XRD peak list (copper Kα), based on a DFT-relaxed cell (GGA-PBE, Alexandria).

Main lines, in order of falling intensity (10 to 90 degrees two-theta):
| d_spacing | Rel. int. |
| --- | --- |
| 2.709 | 100.0 |
| 2.317 | 33.0 |
| 1.402 | 27.1 |
| 1.669 | 22.8 |
| 2.408 | 17.1 |
| 1.442 | 12.8 |
| 1.638 | 11.5 |
| 1.354 | 11.5 |

Cell and atoms:
a b c (Å): 3.276 3.276 9.632
angles (deg): 90.00 90.00 90.00
Space group P4/mmm (No. 123)
Symmetry-distinct sites (fractional):
Lu1 0.000 0.000 0.000 x1
Pu1 0.500 0.500 0.263 x2
Zr1 0.000 0.000 0.500 x1



Entry 5:
ZrTiO4: computed XRD peak list (copper Kα), based on a DFT-relaxed cell (GGA-PBE, Alexandria).

Main lines, in order of falling intensity (10 to 90 degrees two-theta):
| d_spacing | Rel. int. |
| --- | --- |
| 3.040 | 100.0 |
| 3.065 | 99.1 |
| 2.947 | 89.4 |
| 2.816 | 69.3 |
| 1.804 | 49.5 |
| 2.715 | 42.6 |
| 1.766 | 38.1 |
| 2.516 | 28.0 |

Cell and atoms:
a b c (Å): 4.971 5.455 10.113
angles (deg): 95.15 92.14 91.58
Space group P1 (No. 1)
Symmetry-distinct sites (fractional):
Zr1 0.000 0.000 0.000 x1
Zr2 0.021 0.021 0.500 x1
Zr3 0.432 0.503 0.003 x1
Zr4 0.943 0.579 0.716 x1
Ti1 0.469 0.481 0.475 x1
Ti2 0.497 0.117 0.741 x1
Ti3 0.525 0.076 0.233 x1
Ti4 0.974 0.590 0.235 x1
O1 0.171 0.689 0.890 x1
O2 0.172 0.335 0.138 x1
O3 0.213 0.666 0.393 x1
O4 0.228 0.883 0.652 x1
O5 0.235 0.366 0.612 x1
O6 0.240 0.192 0.879 x1
O7 0.272 0.832 0.143 x1
O8 0.313 0.165 0.382 x1
O9 0.656 0.177 0.073 x1
O10 0.661 0.423 0.831 x1
O11 0.708 0.415 0.317 x1
O12 0.723 0.235 0.593 x1
O13 0.736 0.713 0.553 x1
O14 0.740 0.922 0.817 x1
O15 0.783 0.686 0.080 x1
O16 0.801 0.920 0.313 x1



Entry 6:
Ba3Yb4O9: computed XRD peak list (copper Kα), based on a DFT-relaxed cell (GGA-PBE, Alexandria).

Main lines, in order of falling intensity (10 to 90 degrees two-theta):
| d_spacing | Rel. int. |
| --- | --- |
| 3.061 | 100.0 |
| 3.002 | 77.9 |
| 2.143 | 40.4 |
| 1.756 | 34.5 |
| 1.767 | 23.0 |
| 2.079 | 20.2 |
| 4.896 | 16.0 |
| 1.531 | 15.9 |

Cell and atoms:
a b c (Å): 6.1226 6.1226 25.4944
angles (deg): 90.00 90.00 120.00
Space group R3 (No. 146, hexagonal axes)
Symmetry-distinct sites (fractional):
Ba1 0.0000 0.0000 0.0000 x3
Ba2 0.0000 0.0000 0.1659 x3
Ba3 0.0000 0.0000 0.5773 x3
Yb1 0.0000 0.0000 0.3023 x3
Yb2 0.0000 0.0000 0.4257 x3
Yb3 0.0000 0.0000 0.7407 x3
Yb4 0.0000 0.0000 0.8649 x3
O1 0.0162 0.4421 0.0276 x9
O2 0.1087 0.7737 0.9165 x9
O3 0.1187 0.3451 0.4747 x9



Entry 7:
Sc3TlTe2: computed XRD peak list (copper Kα), based on a DFT-relaxed cell (GGA-PBE, Alexandria).

Main lines, in order of falling intensity (10 to 90 degrees two-theta):
| d_spacing | Rel. int. |
| --- | --- |
| 2.951 | 100.0 |
| 2.083 | 91.5 |
| 3.403 | 81.4 |
| 2.940 | 49.5 |
| 1.776 | 20.6 |
| 1.318 | 20.1 |
| 1.316 | 20.1 |
| 1.704 | 19.3 |

Cell and atoms:
a b c (Å): 5.898 17.643 8.328
angles (deg): 90.00 134.85 90.00
Space group P2_1/c (No. 14)
Symmetry-distinct sites (fractional):
Sc1 0.249 0.084 0.248 x4
Sc2 0.250 0.084 0.749 x4
Sc3 0.251 0.747 0.752 x4
Tl1 0.251 0.583 0.752 x4
Te1 0.249 0.250 0.248 x4
Te2 0.251 0.585 0.251 x4



Entry 8:
Na2H2OsO6: computed XRD peak list (copper Kα), based on a DFT-relaxed cell (GGA-PBE, Alexandria).

Main lines, in order of falling intensity (10 to 90 degrees two-theta):
| d_spacing | Rel. int. |
| --- | --- |
| 3.330 | 100.0 |
| 4.311 | 63.7 |
| 5.244 | 38.6 |
| 2.240 | 28.7 |
| 1.994 | 26.0 |
| 1.556 | 22.5 |
| 2.489 | 21.9 |
| 1.805 | 19.5 |

Cell and atoms:
a b c (Å): 4.9781 4.9781 5.2436
angles (deg): 90.00 90.00 120.00
Space group P-3 (No. 147)
Symmetry-distinct sites (fractional):
Na1 0.3333 0.6667 0.3751 x2
H1 0.3333 0.6667 0.8214 x2
Os1 0.0000 0.0000 0.0000 x1
O1 0.1084 0.3470 0.7922 x6



Entry 9:
Cd3InAg6: computed XRD peak list (copper Kα), based on a DFT-relaxed cell (GGA-PBE, Alexandria).

Main lines, in order of falling intensity (10 to 90 degrees two-theta):
| d_spacing | Rel. int. |
| --- | --- |
| 2.464 | 100.0 |
| 2.448 | 98.1 |
| 2.111 | 62.9 |
| 2.160 | 33.3 |
| 1.278 | 23.0 |
| 1.510 | 20.2 |
| 1.493 | 19.7 |
| 1.300 | 11.9 |

Cell and atoms:
a b c (Å): 9.519 4.226 9.578
angles (deg): 90.00 91.40 90.00
Space group P2_1/m (No. 11)
Symmetry-distinct sites (fractional):
Cd1 0.048 0.250 0.398 x2
Cd2 0.149 0.750 0.198 x2
Cd3 0.253 0.250 0.995 x2
In1 0.445 0.250 0.610 x2
Ag1 0.052 0.750 0.900 x2
Ag2 0.150 0.250 0.701 x2
Ag3 0.249 0.750 0.500 x2
Ag4 0.349 0.250 0.299 x2
Ag5 0.349 0.750 0.802 x2
Ag6 0.449 0.750 0.097 x2



Entry 10:
Na2ScC2O6: computed XRD peak list (copper Kα), based on a DFT-relaxed cell (GGA-PBE, Alexandria).

Main lines, in order of falling intensity (10 to 90 degrees two-theta):
| d_spacing | Rel. int. |
| --- | --- |
| 6.479 | 100.0 |
| 2.626 | 92.4 |
| 3.688 | 56.2 |
| 2.119 | 34.7 |
| 2.589 | 30.5 |
| 1.844 | 20.5 |
| 1.640 | 20.5 |
| 1.659 | 20.2 |

Cell and atoms:
a b c (Å): 5.1790 5.1790 6.4790
angles (deg): 90.00 90.00 120.00
Space group P-3 (No. 147)
Symmetry-distinct sites (fractional):
Na1 0.3333 0.6667 0.3135 x2
Sc1 0.0000 0.0000 0.0000 x1
C1 0.3333 0.6667 0.8223 x2
O1 0.1219 0.3882 0.8149 x6



Entry 11:
Tb5BiSb4: computed XRD peak list (copper Kα), based on a DFT-relaxed cell (GGA-PBE, Alexandria).

Main lines, in order of falling intensity (10 to 90 degrees two-theta):
| d_spacing | Rel. int. |
| --- | --- |
| 3.125 | 100.0 |
| 2.210 | 76.7 |
| 1.398 | 35.4 |
| 1.804 | 27.4 |
| 1.276 | 26.1 |
| 1.563 | 12.8 |
| 1.105 | 8.7 |
| 3.608 | 1.6 |

Cell and atoms:
a b c (Å): 9.882 9.882 6.250
angles (deg): 90.00 90.00 90.00
Space group I4/m (No. 87)
Symmetry-distinct sites (fractional):
Tb1 0.000 0.000 0.000 x2
Tb2 0.101 0.304 0.500 x8
Bi1 0.000 0.000 0.500 x2
Sb1 0.101 0.300 0.000 x8



Entry 12:
NaGeB: computed XRD peak list (copper Kα), based on a DFT-relaxed cell (GGA-PBE, Alexandria).

Main lines, in order of falling intensity (10 to 90 degrees two-theta):
| d_spacing | Rel. int. |
| --- | --- |
| 4.672 | 100.0 |
| 2.582 | 87.9 |
| 2.421 | 37.8 |
| 2.336 | 36.5 |
| 2.831 | 34.1 |
| 3.304 | 31.8 |
| 1.782 | 24.4 |
| 1.417 | 22.4 |

Cell and atoms:
a b c (Å): 6.164 7.168 4.672
angles (deg): 90.00 90.00 90.00
Space group Pbam (No. 55)
Symmetry-distinct sites (fractional):
Na1 0.239 0.109 0.000 x4
Ge1 0.107 0.357 0.500 x4
B1 0.059 0.895 0.500 x4